Starting from a cell relaxed with PBE, the powder diffractogram of Ho4Tl2Pb was calculated for copper Kα.
Neutral-atom scattering factors, no anomalous dispersion.

a = 13.1824 Å, b = 9.3127 Å, c = 9.3095 Å
α = 90.00°, β = 134.84°, γ = 90.00°
Space group C2 (No. 5)
Inequivalent atoms, fractional coordinates:
Ho 0.0717 0.0000 0.2488
Ho 0.0718 0.6455 0.3944
Ho 0.1782 0.2500 0.7509
Ho 0.1785 0.3956 0.1056
Tl 0.0000 0.7006 0.0000
Tl 0.0000 0.9450 0.5000
Tl 0.2501 0.0728 0.1223
Pb 0.1250 0.3228 0.3750

Top 8 peaks for 2θ = 10–90°, most intense first:
- (3 1 -3), 2.945 Å, 30.4°, I 100
- (2 2 -3), 2.493 Å, 36.0°, I 86
- (4 0 -1), 2.953 Å, 30.3°, I 73
- (4 2 -3), 2.489 Å, 36.1°, I 29
- (0 6 1), 1.511 Å, 61.4°, I 23
- (5 3 -3), 1.988 Å, 45.6°, I 21
- (2 4 -2), 2.083 Å, 43.4°, I 20
- (7 1 -4), 1.828 Å, 49.9°, I 20